The following is a theoretical powder XRD pattern of CdNiPO4. It was derived from a GGA+U-relaxed structure, using Cu Kα (λ = 1.5418 Å).

Most intense lines, 2θ = 15–90°, in order of rising 2θ:
2θ = 22.56°, I = 51.1
2θ = 26.57°, I = 18.9
2θ = 30.28°, I = 74.0
2θ = 32.40°, I = 100.0
2θ = 33.85°, I = 27.5
2θ = 34.71°, I = 78.5
2θ = 44.13°, I = 18.0
2θ = 44.58°, I = 24.8
2θ = 46.05°, I = 48.8
2θ = 56.69°, I = 21.0
2θ = 62.57°, I = 25.5
2θ = 66.45°, I = 25.6

Crystal structure
```
CdNiPO4
1.0
2.952 -4.311 0.000
2.952 4.311 0.000
0.000 0.000 6.710
Cd Ni P O
2 2 2 8
direct
0.186 0.814 0.750 Cd
0.814 0.186 0.250 Cd
0.500 0.500 0.000 Ni
0.500 0.500 0.500 Ni
0.158 0.842 0.250 P
0.842 0.158 0.750 P
0.163 0.265 0.750 O
0.265 0.163 0.250 O
0.266 0.734 0.064 O
0.266 0.734 0.436 O
0.734 0.266 0.564 O
0.734 0.266 0.936 O
0.735 0.837 0.750 O
0.837 0.735 0.250 O
```